[1]
This entry pairs a crystal structure of Mg9CuO10 with its calculated X-ray powder pattern. Radiation: CuKα. Structure: a cell relaxed with PBE.

Structural model:
Cell: 6.6833 6.6833 10.0142 Å, 101.19 101.19 26.16°
Sites, in units of the cell vectors:
Mg: 0.0000 0.0000 0.0000
Mg: 0.0979 0.0979 0.2992
Mg: 0.1977 0.1977 0.6001
Mg: 0.3008 0.3008 0.9002
Mg: 0.3990 0.3990 0.1984
Mg: 0.6010 0.6010 0.8016
Mg: 0.6992 0.6992 0.0998
Mg: 0.8023 0.8023 0.3999
Mg: 0.9021 0.9021 0.7008
Cu: 0.5000 0.5000 0.5000
O: 0.0530 0.0530 0.6579
O: 0.1505 0.1505 0.9505
O: 0.2488 0.2488 0.2515
O: 0.3508 0.3508 0.5499
O: 0.4504 0.4504 0.8501
O: 0.5496 0.5496 0.1499
O: 0.6492 0.6492 0.4501
O: 0.7512 0.7512 0.7485
O: 0.8495 0.8495 0.0495
O: 0.9470 0.9470 0.3421

The 8 most intense peaks (15 to 90 degrees two-theta), by angle:
- 2θ = 18.05°, I = 6.8
- 2θ = 36.53°, I = 28.4
- 2θ = 42.23°, I = 100.0
- 2θ = 42.85°, I = 48.9
- 2θ = 61.26°, I = 28.5
- 2θ = 61.73°, I = 55.1
- 2θ = 73.48°, I = 10.5
- 2θ = 77.65°, I = 25.2

=====

[2]
This entry pairs a crystal structure of TbB4Ir4 with its calculated X-ray powder pattern. Radiation: CuKα. Structure: a cell relaxed with PBE.

Structural model:
Cell: 7.6440 7.6440 3.9916 Å, 90.00 90.00 90.00°
Sites, in units of the cell vectors:
Tb: 0.2500 0.2500 0.2500
Tb: 0.7500 0.7500 0.7500
B: 0.0284 0.9080 0.1386
B: 0.0920 0.5284 0.6386
B: 0.4080 0.9716 0.6386
B: 0.4716 0.5920 0.1386
B: 0.5284 0.4080 0.8614
B: 0.5920 0.0284 0.3614
B: 0.9080 0.4716 0.3614
B: 0.9716 0.0920 0.8614
Ir: 0.0900 0.6406 0.1372
Ir: 0.1406 0.9100 0.6372
Ir: 0.3594 0.5900 0.6372
Ir: 0.4100 0.8594 0.1372
Ir: 0.5900 0.1406 0.8628
Ir: 0.6406 0.4100 0.3628
Ir: 0.8594 0.0900 0.3628
Ir: 0.9100 0.3594 0.8628

The 8 most intense peaks (15 to 90 degrees two-theta), by angle:
- 2θ = 16.40°, I = 16.5
- 2θ = 27.78°, I = 22.5
- 2θ = 34.54°, I = 100.0
- 2θ = 37.20°, I = 63.2
- 2θ = 40.30°, I = 26.2
- 2θ = 47.06°, I = 22.8
- 2θ = 58.77°, I = 17.8
- 2θ = 65.37°, I = 20.1